Entry 1:
Calculated XRD peak list
Compound: PrThZnCu
Radiation: Cu Kα
Structure: a PBE-relaxed structure

Main lines, low angle first (2θ = 5–70°):
2θ/deg  I_rel
21.11  5.6
24.43  23.7
34.82  100.0
41.07  3.4
42.99  7.4
50.06  17.9
54.91  1.5
56.46  10.5
62.42  36.5
66.68  1.2

Structure:
Cell lengths 7.2883, 7.2883, 7.2883 Å; angles 90.00, 90.00, 90.00 degrees
Fractional positions:
Pr1 0.0000 0.0000 0.0000
Pr2 0.0000 0.5000 0.5000
Pr3 0.5000 0.0000 0.5000
Pr4 0.5000 0.5000 0.0000
Th1 0.0000 0.0000 0.5000
Th2 0.0000 0.5000 0.0000
Th3 0.5000 0.0000 0.0000
Th4 0.5000 0.5000 0.5000
Zn1 0.2500 0.2500 0.2500
Zn2 0.2500 0.7500 0.7500
Zn3 0.7500 0.2500 0.7500
Zn4 0.7500 0.7500 0.2500
Cu1 0.2500 0.2500 0.7500
Cu2 0.2500 0.7500 0.2500
Cu3 0.7500 0.2500 0.2500
Cu4 0.7500 0.7500 0.7500



Entry 2:
Calculated XRD peak list
Compound: CaMgCd3
Radiation: Cu Kα
Structure: a PBE-relaxed structure

Main lines, low angle first (2θ = 5–70°):
2θ/deg  I_rel
14.97  79.3
29.66  35.4
30.15  32.8
32.08  51.5
33.10  38.6
33.17  28.8
35.68  100.0
39.38  28.1
42.17  24.8
44.45  35.4

Structure:
Cell lengths 5.9207, 6.0967, 6.9257 Å; angles 90.00, 91.03, 90.00 degrees
Fractional positions:
Ca1 0.1514 0.2500 0.1535
Ca2 0.8486 0.7500 0.8465
Mg1 0.0825 0.7500 0.3848
Mg2 0.9175 0.2500 0.6152
Cd1 0.3511 0.0044 0.6734
Cd2 0.3511 0.4956 0.6734
Cd3 0.3511 0.7500 0.0437
Cd4 0.6489 0.2500 0.9563
Cd5 0.6489 0.5044 0.3266
Cd6 0.6489 0.9956 0.3266



Entry 3:
Calculated XRD peak list
Compound: Ca2La2Pr15
Radiation: Cu Kα
Structure: a PBE-relaxed structure

Main lines, low angle first (2θ = 5–70°):
2θ/deg  I_rel
9.92  16.3
14.95  26.0
26.05  14.9
26.36  17.3
29.81  19.3
30.11  100.0
30.36  30.3
33.51  26.9
33.75  73.7
53.57  19.0

Structure:
Cell lengths 9.0962, 9.0962, 9.0962 Å; angles 81.30, 81.30, 81.30 degrees
Fractional positions:
Ca1 0.1680 0.1680 0.1680
Ca2 0.8320 0.8320 0.8320
La1 0.4113 0.4113 0.4113
La2 0.5887 0.5887 0.5887
Pr1 0.0000 0.5000 0.5000
Pr2 0.1372 0.1372 0.6491
Pr3 0.1372 0.6491 0.1372
Pr4 0.2001 0.5000 0.7999
Pr5 0.2001 0.7999 0.5000
Pr6 0.3509 0.8628 0.8628
Pr7 0.5000 0.0000 0.5000
Pr8 0.5000 0.2001 0.7999
Pr9 0.5000 0.5000 0.0000
Pr10 0.5000 0.7999 0.2001
Pr11 0.6491 0.1372 0.1372
Pr12 0.7999 0.2001 0.5000
Pr13 0.7999 0.5000 0.2001
Pr14 0.8628 0.3509 0.8628
Pr15 0.8628 0.8628 0.3509